# 1
Starting from a structure optimized by DFT (PBE), the powder XRD pattern of Nd2Sm2Se2S3 was computed for a wavelength of 1.5418 Å.
No peak broadening, texture or thermal motion is included.

Main lines, sorted by position (5 to 70 degrees two-theta):
- 23.8°, rel. 22, hkl 0 0 4
- 25.8°, rel. 76, hkl 1 1 2
- 32.6°, rel. 100, hkl 2 0 0
- 33.2°, rel. 34, hkl 1 1 4
- 34.1°, rel. 57, hkl 1 0 5
- 46.7°, rel. 36, hkl 2 2 0
- 47.8°, rel. 43, hkl 2 1 5
- 54.1°, rel. 21, hkl 3 1 2

Structure:
```
data_Nd2Sm2Se2S3
_symmetry_space_group_name_H-M 'I 4/m m m'
_symmetry_Int_Tables_number 139
_symmetry_space_group_name_Hall '-I 4 2'
_cell_length_a 5.500
_cell_length_b 5.500
_cell_length_c 14.979
_cell_angle_alpha 90.00
_cell_angle_beta 90.00
_cell_angle_gamma 90.00
loop_
_atom_site_label
_atom_site_type_symbol
_atom_site_fract_x
_atom_site_fract_y
_atom_site_fract_z
_atom_site_occupancy
Nd1 Nd 0.000 0.000 0.203 1
Sm1 Sm 0.000 0.500 0.000 1
Se1 Se 0.000 0.000 0.398 1
S1 S 0.000 0.000 0.000 1
S2 S 0.000 0.500 0.250 1
```



# 2
Starting from a structure optimized by DFT (PBE), the powder XRD pattern of Nd2Sm2Se3S2 was computed for a wavelength of 1.5418 Å.
No peak broadening, texture or thermal motion is included.

Main lines, sorted by position (5 to 70 degrees two-theta):
- 24.6°, rel. 51, hkl 0 0 4
- 25.2°, rel. 37, hkl 1 1 2
- 31.2°, rel. 100, hkl 2 0 0
- 34.8°, rel. 31, hkl 1 0 5
- 40.2°, rel. 56, hkl 2 0 4
- 44.8°, rel. 37, hkl 2 2 0
- 47.4°, rel. 25, hkl 2 1 5
- 51.8°, rel. 27, hkl 2 2 4

Structure:
```
data_Nd2Sm2Se3S2
_symmetry_space_group_name_H-M 'I 4/m m m'
_symmetry_Int_Tables_number 139
_symmetry_space_group_name_Hall '-I 4 2'
_cell_length_a 5.725
_cell_length_b 5.725
_cell_length_c 14.449
_cell_angle_alpha 90.00
_cell_angle_beta 90.00
_cell_angle_gamma 90.00
loop_
_atom_site_label
_atom_site_type_symbol
_atom_site_fract_x
_atom_site_fract_y
_atom_site_fract_z
_atom_site_occupancy
Nd1 Nd 0.000 0.000 0.214 1
Sm1 Sm 0.000 0.500 0.000 1
Se1 Se 0.000 0.000 0.000 1
Se2 Se 0.000 0.500 0.250 1
S1 S 0.000 0.000 0.403 1
```



# 3
Starting from a structure optimized by DFT (PBE), the powder XRD pattern of Nd2Y2Se3S2 was computed for a wavelength of 1.5418 Å.
No peak broadening, texture or thermal motion is included.

Main lines, sorted by position (5 to 70 degrees two-theta):
- 24.5°, rel. 46, hkl 0 0 4
- 25.4°, rel. 18, hkl 1 1 2
- 31.7°, rel. 100, hkl 2 0 0
- 34.7°, rel. 44, hkl 1 0 5
- 40.5°, rel. 49, hkl 2 0 4
- 45.4°, rel. 36, hkl 2 2 0
- 47.7°, rel. 35, hkl 2 1 5
- 52.3°, rel. 23, hkl 2 2 4

Structure:
```
data_Nd2Y2Se3S2
_symmetry_space_group_name_H-M 'I 4/m m m'
_symmetry_Int_Tables_number 139
_symmetry_space_group_name_Hall '-I 4 2'
_cell_length_a 5.653
_cell_length_b 5.653
_cell_length_c 14.512
_cell_angle_alpha 90.00
_cell_angle_beta 90.00
_cell_angle_gamma 90.00
loop_
_atom_site_label
_atom_site_type_symbol
_atom_site_fract_x
_atom_site_fract_y
_atom_site_fract_z
_atom_site_occupancy
Nd1 Nd 0.000 0.000 0.212 1
Y1 Y 0.000 0.500 0.000 1
Se1 Se 0.000 0.000 0.000 1
Se2 Se 0.000 0.500 0.250 1
S1 S 0.000 0.000 0.403 1
```



# 4
Starting from a structure optimized by DFT (PBE), the powder XRD pattern of Nd2Y2Se2S3 was computed for a wavelength of 1.5418 Å.
No peak broadening, texture or thermal motion is included.

Main lines, sorted by position (5 to 70 degrees two-theta):
- 23.3°, rel. 25, hkl 1 1 0
- 24.1°, rel. 17, hkl 1 0 3
- 26.1°, rel. 50, hkl 1 1 2
- 33.1°, rel. 100, hkl 2 0 0
- 33.3°, rel. 24, hkl 1 1 4
- 34.0°, rel. 81, hkl 1 0 5
- 47.6°, rel. 35, hkl 2 2 0
- 48.2°, rel. 60, hkl 2 1 5

Structure:
```
data_Nd2Y2Se2S3
_symmetry_space_group_name_H-M 'I 4/m m m'
_symmetry_Int_Tables_number 139
_symmetry_space_group_name_Hall '-I 4 2'
_cell_length_a 5.407
_cell_length_b 5.407
_cell_length_c 15.118
_cell_angle_alpha 90.00
_cell_angle_beta 90.00
_cell_angle_gamma 90.00
loop_
_atom_site_label
_atom_site_type_symbol
_atom_site_fract_x
_atom_site_fract_y
_atom_site_fract_z
_atom_site_occupancy
Nd1 Nd 0.000 0.000 0.200 1
Y1 Y 0.000 0.500 0.000 1
Se1 Se 0.000 0.000 0.398 1
S1 S 0.000 0.000 0.000 1
S2 S 0.000 0.500 0.250 1
```



# 5
Starting from a structure optimized by DFT (PBE), the powder XRD pattern of Nd6Si4S17 was computed for a wavelength of 1.5418 Å.
No peak broadening, texture or thermal motion is included.

Main lines, sorted by position (5 to 70 degrees two-theta):
- 13.3°, rel. 60, hkl 1 -1 0
- 20.4°, rel. 100, hkl 0 2 2
- 20.8°, rel. 100, hkl 1 0 3
- 21.7°, rel. 66, hkl 1 0 -3
- 22.1°, rel. 77, hkl 1 -2 1
- 33.1°, rel. 74, hkl 0 2 -4
- 35.2°, rel. 73, hkl 1 2 5
- 37.5°, rel. 73, hkl -1 4 1

Structure:
```
data_Nd6Si4S17
_symmetry_space_group_name_H-M 'P -1'
_symmetry_Int_Tables_number 2
_symmetry_space_group_name_Hall '-P 1'
_cell_length_a 8.995
_cell_length_b 10.007
_cell_length_c 14.319
_cell_angle_alpha 81.94
_cell_angle_beta 87.02
_cell_angle_gamma 89.16
loop_
_atom_site_label
_atom_site_type_symbol
_atom_site_fract_x
_atom_site_fract_y
_atom_site_fract_z
_atom_site_occupancy
Nd1 Nd 0.016 0.268 0.461 1
Nd2 Nd 0.085 0.582 0.165 1
Nd3 Nd 0.106 0.884 0.815 1
Nd4 Nd 0.333 0.911 0.342 1
Nd5 Nd 0.367 0.563 0.677 1
Nd6 Nd 0.449 0.238 0.002 1
Si1 Si 0.231 0.939 0.099 1
Si2 Si 0.250 0.560 0.923 1
Si3 Si 0.250 0.999 0.583 1
Si4 Si 0.277 0.558 0.393 1
S1 S 0.009 0.874 0.116 1
S2 S 0.015 0.990 0.623 1
S3 S 0.040 0.650 0.952 1
S4 S 0.066 0.641 0.722 1
S5 S 0.108 0.702 0.345 1
S6 S 0.185 0.480 0.531 1
S7 S 0.249 0.114 0.168 1
S8 S 0.256 0.384 0.852 1
S9 S 0.299 0.806 0.541 1
S10 S 0.305 0.133 0.460 1
S11 S 0.306 0.413 0.300 1
S12 S 0.321 0.982 0.956 1
S13 S 0.341 0.501 0.057 1
S14 S 0.355 0.030 0.706 1
S15 S 0.367 0.781 0.166 1
S16 S 0.382 0.713 0.838 1
S17 S 0.485 0.654 0.395 1
```



# 6
Starting from a structure optimized by DFT (PBE), the powder XRD pattern of Nd6Si3S14 was computed for a wavelength of 1.5418 Å.
No peak broadening, texture or thermal motion is included.

Main lines, sorted by position (5 to 70 degrees two-theta):
- 20.0°, rel. 35, hkl 2 0 0
- 23.3°, rel. 48, hkl 2 -1 1
- 25.4°, rel. 100, hkl 0 2 1
- 26.6°, rel. 33, hkl 1 2 0
- 36.5°, rel. 54, hkl 1 3 0
- 37.4°, rel. 32, hkl 2 0 2
- 39.8°, rel. 57, hkl 3 1 1
- 41.4°, rel. 39, hkl 1 2 2

Structure:
```
data_Nd6Si3S14
_symmetry_space_group_name_H-M 'P 3'
_symmetry_Int_Tables_number 143
_symmetry_space_group_name_Hall 'P 3'
_cell_length_a 10.2512
_cell_length_b 10.2512
_cell_length_c 5.7305
_cell_angle_alpha 90.00
_cell_angle_beta 90.00
_cell_angle_gamma 120.00
loop_
_atom_site_label
_atom_site_type_symbol
_atom_site_fract_x
_atom_site_fract_y
_atom_site_fract_z
_atom_site_occupancy
Nd1 Nd 0.0270 0.5701 0.0000 1
Nd2 Nd 0.3112 0.0994 0.5103 1
Si1 Si 0.0000 0.0000 0.9242 1
Si2 Si 0.3333 0.6667 0.4138 1
Si3 Si 0.6667 0.3333 0.2558 1
S1 S 0.0000 0.0000 0.2914 1
S2 S 0.0750 0.8557 0.7775 1
S3 S 0.1878 0.4470 0.2696 1
S4 S 0.3333 0.6667 0.7819 1
S5 S 0.4223 0.1731 0.0274 1
S6 S 0.4979 0.4182 0.5122 1
```



# 7
Starting from a structure optimized by DFT (PBE), the powder XRD pattern of NdSm4S7 was computed for a wavelength of 1.5418 Å.
No peak broadening, texture or thermal motion is included.

Main lines, sorted by position (5 to 70 degrees two-theta):
- 23.3°, rel. 88, hkl 2 0 2
- 23.8°, rel. 100, hkl 2 0 -3
- 25.6°, rel. 31, hkl 1 1 1
- 26.9°, rel. 37, hkl 4 0 -1
- 30.6°, rel. 35, hkl 3 1 -1
- 32.2°, rel. 57, hkl 3 1 -2
- 33.3°, rel. 38, hkl 3 1 1
- 41.1°, rel. 31, hkl 1 1 4

Structure:
```
data_NdSm4S7
_symmetry_space_group_name_H-M 'C 1 m 1'
_symmetry_Int_Tables_number 8
_symmetry_space_group_name_Hall 'C -2y'
_cell_length_a 13.269
_cell_length_b 3.913
_cell_length_c 11.860
_cell_angle_alpha 90.00
_cell_angle_beta 104.76
_cell_angle_gamma 90.00
loop_
_atom_site_label
_atom_site_type_symbol
_atom_site_fract_x
_atom_site_fract_y
_atom_site_fract_z
_atom_site_occupancy
Nd1 Nd 0.000 0.000 0.000 1
Sm1 Sm 0.112 0.000 0.421 1
Sm2 Sm 0.223 0.000 0.840 1
Sm3 Sm 0.312 0.500 0.233 1
Sm4 Sm 0.412 0.000 0.609 1
S1 S 0.068 0.000 0.635 1
S2 S 0.113 0.500 0.918 1
S3 S 0.156 0.000 0.207 1
S4 S 0.271 0.500 0.471 1
S5 S 0.351 0.500 0.770 1
S6 S 0.369 0.000 0.069 1
S7 S 0.453 0.000 0.370 1
```



# 8
Starting from a structure optimized by DFT (PBE), the powder XRD pattern of Nd3SmS4 was computed for a wavelength of 1.5418 Å.
No peak broadening, texture or thermal motion is included.

Main lines, sorted by position (5 to 70 degrees two-theta):
- 26.8°, rel. 57, hkl 2 0 0
- 27.0°, rel. 56, hkl 1 2 -1
- 31.1°, rel. 51, hkl 2 0 -2
- 31.3°, rel. 100, hkl 1 2 1
- 44.7°, rel. 73, hkl 3 2 -1
- 52.8°, rel. 19, hkl 3 2 1
- 52.9°, rel. 19, hkl 1 2 3
- 55.3°, rel. 19, hkl 4 0 0

Structure:
```
data_Nd3SmS4
_symmetry_space_group_name_H-M 'P 1 2/c 1'
_symmetry_Int_Tables_number 13
_symmetry_space_group_name_Hall '-P 2yc'
_cell_length_a 7.050
_cell_length_b 8.046
_cell_length_c 7.045
_cell_angle_alpha 90.00
_cell_angle_beta 109.40
_cell_angle_gamma 90.00
loop_
_atom_site_label
_atom_site_type_symbol
_atom_site_fract_x
_atom_site_fract_y
_atom_site_fract_z
_atom_site_occupancy
Nd1 Nd 0.000 0.125 0.250 1
Nd2 Nd 0.000 0.375 0.750 1
Nd3 Nd 0.500 0.125 0.750 1
Sm1 Sm 0.500 0.375 0.250 1
S1 S 0.252 0.127 0.002 1
S2 S 0.254 0.377 0.500 1
```